Diffraction record for Er2FeGe4. The powder diffractogram is calculated, not measured: it uses a cell relaxed with GGA-PBE and Cu Kα X-rays.
Kinematic intensities with the Lorentz-polarization factor, no thermal factor.

Main lines, in order of falling intensity (2θ from 10° to 80°):
Position (°2θ)  I_rel
35.21  1000
43.41  212
43.92  205
36.13  197
41.27  160
34.77  151
24.46  139
63.46  135
74.33  113
31.05  112

Structure:
a = 4.123 Å, b = 8.017 Å, c = 8.017 Å
α = 30.14°, β = 90.00°, γ = 90.00°
Fractional coordinates of all 7 atoms:
1 Er 0.000 0.000 0.000
2 Er 0.500 0.205 0.205
3 Fe 0.000 0.796 0.796
4 Ge 0.000 0.363 0.363
5 Ge 0.000 0.648 0.648
6 Ge 0.500 0.536 0.536
7 Ge 0.500 0.861 0.861

***

Diffraction record for Mg3GaPd3. The powder diffractogram is calculated, not measured: it uses a cell relaxed with GGA-PBE and Cu Kα X-rays.
Kinematic intensities with the Lorentz-polarization factor, no thermal factor.

Main lines, in order of falling intensity (2θ from 10° to 80°):
Position (°2θ)  I_rel
40.33  1000
41.21  940
19.85  675
28.52  345
59.03  317
35.24  315
74.52  311
72.72  167
75.12  152
46.15  146

Structure:
a = 5.385 Å, b = 5.385 Å, c = 5.385 Å
α = 108.89°, β = 108.89°, γ = 108.89°
Fractional coordinates of all 7 atoms:
1 Mg 0.000 0.500 0.500
2 Mg 0.500 0.000 0.500
3 Mg 0.500 0.500 0.000
4 Ga 0.000 0.000 0.000
5 Pd 0.000 0.000 0.500
6 Pd 0.000 0.500 0.000
7 Pd 0.500 0.000 0.000

***

Diffraction record for AcLa2IO4. The powder diffractogram is calculated, not measured: it uses a cell relaxed with GGA-PBE and Cu Kα X-rays.
Kinematic intensities with the Lorentz-polarization factor, no thermal factor.

Main lines, in order of falling intensity (2θ from 10° to 80°):
Position (°2θ)  I_rel
27.72  1000
51.97  354
30.07  320
47.51  262
43.04  186
57.25  116
59.65  115
76.34  113
35.90  107
69.70  74

Structure:
a = 4.203 Å, b = 4.203 Å, c = 10.006 Å
α = 90.00°, β = 90.00°, γ = 90.00°
Fractional coordinates of all 8 atoms:
1 Ac 0.000 0.000 0.000
2 La 0.500 0.500 0.255
3 La 0.500 0.500 0.745
4 I 0.000 0.000 0.500
5 O 0.000 0.500 0.156
6 O 0.000 0.500 0.844
7 O 0.500 0.000 0.156
8 O 0.500 0.000 0.844

***

Diffraction record for Pr2Nd7Tm3. The powder diffractogram is calculated, not measured: it uses a cell relaxed with GGA-PBE and Cu Kα X-rays.
Kinematic intensities with the Lorentz-polarization factor, no thermal factor.

Main lines, in order of falling intensity (2θ from 10° to 80°):
Position (°2θ)  I_rel
30.42  1000
30.73  991
34.29  848
30.19  815
32.94  686
29.18  599
49.16  389
37.45  289
60.51  284
59.46  265

Structure:
a = 6.497 Å, b = 3.585 Å, c = 17.717 Å
α = 90.00°, β = 95.75°, γ = 90.00°
Fractional coordinates of all 12 atoms:
1 Pr 0.059 0.000 0.171
2 Pr 0.941 0.000 0.829
3 Nd 0.000 0.500 0.500
4 Nd 0.229 0.000 0.670
5 Nd 0.259 0.000 0.996
6 Nd 0.280 0.500 0.337
7 Nd 0.720 0.500 0.663
8 Nd 0.741 0.000 0.004
9 Nd 0.771 0.000 0.330
10 Tm 0.456 0.500 0.842
11 Tm 0.500 0.000 0.500
12 Tm 0.544 0.500 0.158

***

Diffraction record for Ba2Zn5Ni. The powder diffractogram is calculated, not measured: it uses a cell relaxed with GGA-PBE and Cu Kα X-rays.
Kinematic intensities with the Lorentz-polarization factor, no thermal factor.

Main lines, in order of falling intensity (2θ from 10° to 80°):
Position (°2θ)  I_rel
33.62  1000
26.17  507
42.18  423
38.36  379
57.96  231
58.32  226
71.65  198
16.63  182
31.91  172
50.32  156

Structure:
a = 7.058 Å, b = 7.058 Å, c = 7.058 Å
α = 129.16°, β = 129.16°, γ = 74.75°
Fractional coordinates of all 8 atoms:
1 Ba 0.000 0.500 0.500
2 Ba 0.500 0.000 0.500
3 Zn 0.365 0.365 0.000
4 Zn 0.511 0.511 0.527
5 Zn 0.511 0.984 0.000
6 Zn 0.984 0.511 0.000
7 Zn 0.984 0.984 0.473
8 Ni 0.627 0.627 0.000

***

Diffraction record for BaInCuF7. The powder diffractogram is calculated, not measured: it uses a cell relaxed with GGA-PBE and Cu Kα X-rays.
Kinematic intensities with the Lorentz-polarization factor, no thermal factor.

Main lines, in order of falling intensity (2θ from 10° to 80°):
Position (°2θ)  I_rel
24.70  1000
29.90  815
29.14  721
24.00  596
37.62  465
53.61  461
30.35  455
46.81  407
38.87  402
48.32  395

Structure:
a = 6.841 Å, b = 6.841 Å, c = 7.919 Å
α = 113.90°, β = 113.90°, γ = 90.15°
Fractional coordinates of all 20 atoms:
1 Ba 0.115 0.885 0.750
2 Ba 0.885 0.115 0.250
3 In 0.500 0.500 0.000
4 In 0.500 0.500 0.500
5 Cu 0.000 0.500 0.000
6 Cu 0.500 0.000 0.500
7 F 0.001 0.226 0.006
8 F 0.155 0.409 0.827
9 F 0.200 0.508 0.498
10 F 0.226 0.001 0.506
11 F 0.407 0.593 0.250
12 F 0.409 0.155 0.327
13 F 0.492 0.800 0.002
14 F 0.508 0.200 0.998
15 F 0.591 0.845 0.673
16 F 0.593 0.407 0.750
17 F 0.774 0.999 0.494
18 F 0.800 0.492 0.502
19 F 0.845 0.591 0.173
20 F 0.999 0.774 0.994

***

Diffraction record for NiHgPt. The powder diffractogram is calculated, not measured: it uses a cell relaxed with GGA-PBE and Cu Kα X-rays.
Kinematic intensities with the Lorentz-polarization factor, no thermal factor.

Main lines, in order of falling intensity (2θ from 10° to 80°):
Position (°2θ)  I_rel
39.29  1000
43.71  391
77.31  280
31.60  222
68.11  168
63.53  129
32.39  112
49.47  109
55.44  103
67.36  92

Structure:
a = 5.903 Å, b = 5.903 Å, c = 5.903 Å
α = 151.27°, β = 151.27°, γ = 41.08°
Fractional coordinates of all 3 atoms:
1 Ni 0.000 0.000 0.000
2 Hg 0.666 0.666 0.000
3 Pt 0.358 0.358 0.000